Simulated XRD peak list of CsBeMoF6 for Cu Kα, from a PBE+U-relaxed structure.

Largest 6 diffraction maxima, most intense first, 2θ = 5–70°:
two_theta  intensity
23.82  100.0
44.25  16.6
34.19  15.5
44.17  15.1
46.06  14.8
33.70  14.2

Atomic structure:
Lattice parameters (Å, degrees): 5.240 5.240 6.562 90.04 90.04 119.82
Fractional coordinates of all 9 atoms:
Cs 0.000 0.000 0.000
Be 0.667 0.333 0.500
Mo 0.333 0.667 0.500
F 0.393 0.349 0.344
F 0.394 0.043 0.657
F 0.650 0.043 0.344
F 0.651 0.607 0.656
F 0.957 0.350 0.656
F 0.957 0.606 0.343